Record 1
Rb2IrPbO4: simulated powder XRD pattern (a wavelength of 1.5418 Å), based on a crystal structure in Alexandria, relaxed with PBE.
Peak positions follow from Bragg's law for the DFT cell and can differ from measured ones.

```
Rb2IrPbO4
1.0
-3.267 3.267 3.731
3.267 -3.267 3.731
3.267 3.267 -3.731
Rb Ir Pb O
2 1 1 4
Direct
0.000 0.000 0.000
0.750 0.250 0.500
0.250 0.750 0.500
0.500 0.500 0.000
0.133 0.541 0.097
0.444 0.036 0.903
0.459 0.556 0.592
0.964 0.867 0.408
```

Peak list (10 most intense, 15° ≤ 2θ ≤ 90°, sorted by position)
2θ 18.05, intensity 33; 2θ 27.30, intensity 57; 2θ 30.80, intensity 100; 2θ 38.99, intensity 29; 2θ 50.49, intensity 50; 2θ 56.84, intensity 16; 2θ 63.69, intensity 13; 2θ 64.17, intensity 13; 2θ 79.00, intensity 14; 2θ 84.17, intensity 12



Record 2
SbIrPbO6: simulated powder XRD pattern (a wavelength of 1.5418 Å), based on a crystal structure in Alexandria, relaxed with PBE.
Peak positions follow from Bragg's law for the DFT cell and can differ from measured ones.

```
SbIrPbO6
1.0
-3.554 3.644 5.206
3.554 -3.644 5.206
3.554 3.644 -5.206
Sb Ir Pb O
2 2 2 12
Direct
0.000 0.000 0.000
0.500 0.000 0.500
0.500 0.000 0.000
0.500 0.500 0.500
0.206 0.456 0.750
0.794 0.544 0.250
0.173 0.923 0.250
0.176 0.337 0.281
0.176 0.895 0.839
0.434 0.684 0.750
0.444 0.105 0.781
0.444 0.663 0.339
0.556 0.337 0.661
0.556 0.895 0.219
0.566 0.316 0.250
0.824 0.105 0.161
0.824 0.663 0.719
0.827 0.077 0.750
```

Peak list (10 most intense, 15° ≤ 2θ ≤ 90°, sorted by position)
2θ 24.44, intensity 34; 2θ 28.48, intensity 60; 2θ 28.84, intensity 100; 2θ 29.24, intensity 61; 2θ 30.45, intensity 98; 2θ 37.98, intensity 30; 2θ 39.42, intensity 27; 2θ 50.10, intensity 31; 2θ 52.45, intensity 31; 2θ 59.73, intensity 30



Record 3
Sr2IrPbO8: simulated powder XRD pattern (a wavelength of 1.5418 Å), based on a crystal structure in Alexandria, relaxed with PBE.
Peak positions follow from Bragg's law for the DFT cell and can differ from measured ones.

```
Sr2IrPbO8
1.0
5.278 0.000 0.000
0.000 7.010 0.000
-0.232 0.000 5.281
Sr Ir Pb O
2 1 1 8
Direct
0.000 0.246 0.000
0.000 0.754 0.000
0.500 0.000 0.500
0.500 0.500 0.500
0.223 0.500 0.223
0.247 0.000 0.247
0.330 0.202 0.670
0.330 0.798 0.670
0.670 0.202 0.330
0.670 0.798 0.330
0.753 0.000 0.753
0.777 0.500 0.777
```

Peak list (10 most intense, 15° ≤ 2θ ≤ 90°, sorted by position)
2θ 16.80, intensity 42; 2θ 23.31, intensity 63; 2θ 24.37, intensity 50; 2θ 30.62, intensity 100; 2θ 33.98, intensity 29; 2θ 34.76, intensity 12; 2θ 45.79, intensity 44; 2θ 46.98, intensity 34; 2θ 55.82, intensity 11; 2θ 58.73, intensity 22



Record 4
Tb2IrPbO8: simulated powder XRD pattern (a wavelength of 1.5418 Å), based on a crystal structure in Alexandria, relaxed with PBE.
Peak positions follow from Bragg's law for the DFT cell and can differ from measured ones.

```
Tb2IrPbO8
1.0
3.512 -3.591 0.000
3.512 3.591 0.000
0.000 0.000 6.854
Tb Ir Pb O
2 1 1 8
Direct
0.000 0.000 0.249
0.000 0.000 0.751
0.500 0.500 0.000
0.500 0.500 0.500
0.194 0.194 0.500
0.230 0.230 0.000
0.319 0.681 0.216
0.319 0.681 0.784
0.681 0.319 0.216
0.681 0.319 0.784
0.770 0.770 0.000
0.806 0.806 0.500
```

Peak list (10 most intense, 15° ≤ 2θ ≤ 90°, sorted by position)
2θ 24.79, intensity 56; 2θ 25.36, intensity 51; 2θ 31.61, intensity 100; 2θ 35.76, intensity 30; 2θ 48.14, intensity 40; 2θ 48.78, intensity 36; 2θ 58.50, intensity 10; 2θ 59.80, intensity 10; 2θ 61.66, intensity 21; 2θ 66.01, intensity 12



Record 5
TlIrPbO4: simulated powder XRD pattern (a wavelength of 1.5418 Å), based on a crystal structure in Alexandria, relaxed with PBE.
Peak positions follow from Bragg's law for the DFT cell and can differ from measured ones.

```
TlIrPbO4
1.0
-3.224 3.801 4.752
3.224 -3.801 4.752
3.224 3.801 -4.752
Tl Ir Pb O
2 2 2 8
Direct
0.392 0.142 0.250
0.608 0.858 0.750
0.000 0.000 0.500
0.000 0.500 0.000
0.000 0.500 0.500
0.500 0.500 0.000
0.161 0.747 0.414
0.168 0.253 0.914
0.210 0.224 0.515
0.210 0.695 0.985
0.790 0.305 0.015
0.790 0.776 0.485
0.832 0.747 0.086
0.839 0.253 0.586
```

Peak list (10 most intense, 15° ≤ 2θ ≤ 90°, sorted by position)
2θ 26.08, intensity 47; 2θ 28.84, intensity 100; 2θ 30.11, intensity 63; 2θ 30.57, intensity 30; 2θ 31.46, intensity 55; 2θ 31.58, intensity 83; 2θ 33.59, intensity 26; 2θ 46.58, intensity 37; 2θ 49.66, intensity 25; 2θ 53.64, intensity 62



Record 6
TeIrPdO6: simulated powder XRD pattern (a wavelength of 1.5418 Å), based on a crystal structure in Alexandria, relaxed with PBE.
Peak positions follow from Bragg's law for the DFT cell and can differ from measured ones.

```
TeIrPdO6
1.0
5.264 0.000 0.000
-2.632 4.559 0.000
0.000 0.000 9.123
Te Ir Pd O
2 2 2 12
Direct
0.333 0.667 0.250
0.667 0.333 0.750
0.333 0.667 0.750
0.667 0.333 0.250
0.000 0.000 0.000
0.000 0.000 0.500
0.002 0.360 0.631
0.002 0.642 0.869
0.358 0.360 0.869
0.358 0.998 0.631
0.360 0.002 0.131
0.360 0.358 0.369
0.640 0.642 0.631
0.640 0.998 0.869
0.642 0.002 0.369
0.642 0.640 0.131
0.998 0.358 0.131
0.998 0.640 0.369
```

Peak list (10 most intense, 15° ≤ 2θ ≤ 90°, sorted by position)
2θ 19.46, intensity 30; 2θ 27.66, intensity 100; 2θ 34.06, intensity 57; 2θ 39.52, intensity 36; 2θ 44.43, intensity 28; 2θ 53.13, intensity 50; 2θ 57.14, intensity 27; 2θ 60.96, intensity 20; 2θ 75.11, intensity 20; 2θ 85.10, intensity 23